[1]
Calculated powder diffractogram
Compound: Pm2Dy3TmSb6
Radiation: Cu Ka
Structure: a DFT-relaxed cell (GGA-PBE, Alexandria)
Neutral-atom scattering factors, no anomalous dispersion.

Atomic structure:
Unit cell a=19.232 b=4.415 c=8.824 alpha=90.00 beta=103.24 gamma=90.00
Space group C2/m (No. 12)
One atom of each set of equivalent atoms:
Pm: 0.166 0.000 0.332 (multiplicity 4)
Dy: 0.000 0.500 0.500 (multiplicity 2)
Dy: 0.168 0.000 0.834 (multiplicity 4)
Tm: 0.000 0.500 0.000 (multiplicity 2)
Sb: 0.002 0.000 0.754 (multiplicity 4)
Sb: 0.165 0.500 0.077 (multiplicity 4)
Sb: 0.165 0.500 0.587 (multiplicity 4)

Peak list (10 most intense, 10° ≤ 2θ ≤ 80°, in order of rising 2θ)
2θ = 24.7°, intensity 3; 2θ = 28.6°, intensity 100; 2θ = 40.9°, intensity 76; 2θ = 48.4°, intensity 2; 2θ = 50.7°, intensity 27; 2θ = 59.2°, intensity 13; 2θ = 65.2°, intensity 1; 2θ = 67.1°, intensity 35; 2θ = 74.5°, intensity 26; 2θ = 79.9°, intensity 1

[2]
Calculated powder diffractogram
Compound: PmDy2USb4
Radiation: Cu Ka
Structure: a DFT-relaxed cell (GGA-PBE, Alexandria)
Neutral-atom scattering factors, no anomalous dispersion.

Atomic structure:
Unit cell a=6.238 b=6.238 c=12.463 alpha=90.00 beta=90.00 gamma=90.00
Space group I-4m2 (No. 119)
One atom of each set of equivalent atoms:
Pm: 0.000 0.000 0.000 (multiplicity 2)
Dy: 0.000 0.000 0.500 (multiplicity 2)
Dy: 0.000 0.500 0.250 (multiplicity 2)
U: 0.000 0.500 0.750 (multiplicity 2)
Sb: 0.000 0.000 0.253 (multiplicity 4)
Sb: 0.000 0.500 0.502 (multiplicity 4)

Peak list (10 most intense, 10° ≤ 2θ ≤ 80°, in order of rising 2θ)
2θ = 15.9°, intensity 2; 2θ = 24.7°, intensity 6; 2θ = 28.6°, intensity 100; 2θ = 40.9°, intensity 77; 2θ = 48.4°, intensity 3; 2θ = 50.7°, intensity 27; 2θ = 59.3°, intensity 13; 2θ = 65.2°, intensity 1; 2θ = 67.1°, intensity 35; 2θ = 74.5°, intensity 26